No. 1
# Sr4LiY2Ru2O12
Calculated powder XRD pattern, λ = 1.5418 Å (Cu Kα). Input: a structure optimized by DFT (GGA-PBE).
No peak broadening, texture or thermal motion is included.

Main lines, in order of rising 2θ (10 to 90 degrees two-theta):
| 2theta | intensity | hkl |
| --- | --- | --- |
| 29.55 | 42.0 | 0 2 0 |
| 29.75 | 45.5 | 1 1 2 |
| 30.53 | 100.0 | 1 -1 2 |
| 30.84 | 52.0 | 1 1 -2 |
| 31.18 | 54.7 | 2 0 0 |
| 43.15 | 23.7 | 2 2 0 |
| 43.62 | 30.3 | 0 0 4 |
| 43.81 | 26.0 | 2 -2 0 |

Structural model:
```
data_Sr4LiY2Ru2O12
_chemical_formula_sum 'Sr4 Li1 Y2 Ru2 O12'
_cell_length_a 5.741
_cell_length_b 6.048
_cell_length_c 8.305
_cell_angle_alpha 88.43
_cell_angle_beta 88.70
_cell_angle_gamma 89.12
_symmetry_space_group_name_H-M 'P 1'
_symmetry_Int_Tables_number 1
loop_
_symmetry_equiv_pos_as_xyz
'x,y,z'
loop_
_atom_site_label
_atom_site_fract_x
_atom_site_fract_y
_atom_site_fract_z
Sr1 0.000 0.000 0.000
Sr2 0.048 0.155 0.529
Sr3 0.468 0.611 0.495
Sr4 0.529 0.506 0.990
Li1 0.862 0.846 0.391
Y1 0.009 0.521 0.231
Y2 0.522 0.059 0.749
Ru1 0.014 0.570 0.747
Ru2 0.500 0.050 0.247
O1 0.095 0.576 0.979
O2 0.206 0.866 0.295
O3 0.210 0.841 0.708
O4 0.295 0.367 0.707
O5 0.319 0.325 0.297
O6 0.429 0.080 0.015
O7 0.611 0.018 0.481
O8 0.697 0.767 0.207
O9 0.743 0.763 0.795
O10 0.783 0.238 0.203
O11 0.822 0.292 0.787
O12 0.932 0.562 0.506
```

No. 2
# K4Pb9
Calculated powder XRD pattern, λ = 1.5418 Å (Cu Kα). Input: a structure optimized by DFT (GGA-PBE).
No peak broadening, texture or thermal motion is included.

Main lines, in order of rising 2θ (10 to 90 degrees two-theta):
| 2theta | intensity | hkl |
| --- | --- | --- |
| 11.68 | 100.0 | 1 1 -1 |
| 11.86 | 45.2 | 1 0 1 |
| 13.01 | 31.3 | 0 1 2 |
| 26.19 | 29.5 | 0 2 4 |
| 27.26 | 30.4 | 2 3 0 |
| 28.74 | 28.6 | 2 1 3 |
| 31.81 | 38.0 | 3 0 -4 |
| 32.54 | 44.0 | 3 1 -4 |

Structural model:
```
data_K4Pb9
_chemical_formula_sum 'K16 Pb36'
_cell_length_a 9.825
_cell_length_b 13.469
_cell_length_c 16.201
_cell_angle_alpha 90.00
_cell_angle_beta 103.19
_cell_angle_gamma 90.00
_symmetry_space_group_name_H-M 'P 1 21/m 1'
_symmetry_Int_Tables_number 11
loop_
_symmetry_equiv_pos_as_xyz
'x,y,z'
'-x,-y,-z'
'-x,y+1/2,-z'
'x,-y+1/2,z'
loop_
_atom_site_label
_atom_site_fract_x
_atom_site_fract_y
_atom_site_fract_z
K1 0.052 0.003 0.370
K2 0.114 0.250 0.203
K3 0.261 0.250 0.568
K4 0.325 0.598 0.909
K5 0.381 0.573 0.213
Pb1 0.000 0.057 0.878
Pb2 0.065 0.750 0.029
Pb3 0.067 0.750 0.246
Pb4 0.131 0.750 0.494
Pb5 0.171 0.750 0.693
Pb6 0.234 0.133 0.782
Pb7 0.246 0.132 0.029
Pb8 0.308 0.562 0.623
Pb9 0.384 0.130 0.378
Pb10 0.388 0.631 0.449
Pb11 0.440 0.250 0.928
Pb12 0.497 0.750 0.761
```

No. 3
# PmSe2
Calculated powder XRD pattern, λ = 1.5418 Å (Cu Kα). Input: a structure optimized by DFT (GGA-PBE).
No peak broadening, texture or thermal motion is included.

Main lines, in order of rising 2θ (10 to 90 degrees two-theta):
| 2theta | intensity | hkl |
| --- | --- | --- |
| 23.86 | 45.4 | 1 0 1 |
| 30.51 | 35.7 | 1 1 0 |
| 31.39 | 33.4 | 0 0 3 |
| 32.29 | 69.5 | 1 1 1 |
| 37.20 | 100.0 | 1 1 2 |
| 38.33 | 58.0 | 1 0 3 |
| 43.68 | 57.7 | 2 0 0 |
| 59.50 | 32.0 | 2 1 3 |

Structural model:
```
data_PmSe2
_chemical_formula_sum 'Pm2 Se4'
_cell_length_a 4.144
_cell_length_b 4.144
_cell_length_c 8.549
_cell_angle_alpha 90.00
_cell_angle_beta 90.00
_cell_angle_gamma 90.00
_symmetry_space_group_name_H-M 'P 4/n m m'
_symmetry_Int_Tables_number 129
loop_
_symmetry_equiv_pos_as_xyz
'x,y,z'
'-x,-y,-z'
'-y+1/2,x,z'
'y+1/2,-x,-z'
'-x+1/2,-y+1/2,z'
'x+1/2,y+1/2,-z'
'y,-x+1/2,z'
'-y,x+1/2,-z'
'x+1/2,-y,-z'
'-x+1/2,y,z'
'-y,-x,-z'
'y,x,z'
'-x,y+1/2,-z'
'x,-y+1/2,z'
'y+1/2,x+1/2,-z'
'-y+1/2,-x+1/2,z'
loop_
_atom_site_label
_atom_site_fract_x
_atom_site_fract_y
_atom_site_fract_z
Pm1 0.250 0.250 0.226
Se1 0.250 0.250 0.868
Se2 0.250 0.750 0.500
```

No. 4
# SrIrO3
Calculated powder XRD pattern, λ = 1.5418 Å (Cu Kα). Input: a structure optimized by DFT (GGA-PBE).
No peak broadening, texture or thermal motion is included.

Main lines, in order of rising 2θ (10 to 90 degrees two-theta):
| 2theta | intensity | hkl |
| --- | --- | --- |
| 22.19 | 19.9 | 1 0 1 |
| 31.45 | 19.6 | 2 0 0 |
| 31.72 | 100.0 | 1 2 1 |
| 45.27 | 20.0 | 2 0 2 |
| 45.69 | 10.4 | 0 4 0 |
| 56.17 | 14.4 | 3 2 1 |
| 56.51 | 26.6 | 1 2 3 |
| 66.28 | 14.5 | 0 0 4 |

Structural model:
```
data_SrIrO3
_chemical_formula_sum 'Sr4 Ir4 O12'
_cell_length_a 5.689
_cell_length_b 7.944
_cell_length_c 5.642
_cell_angle_alpha 90.00
_cell_angle_beta 90.00
_cell_angle_gamma 90.00
_symmetry_space_group_name_H-M 'P n m a'
_symmetry_Int_Tables_number 62
loop_
_symmetry_equiv_pos_as_xyz
'x,y,z'
'-x,-y,-z'
'-x+1/2,-y,z+1/2'
'x+1/2,y,-z+1/2'
'x+1/2,-y+1/2,-z+1/2'
'-x+1/2,y+1/2,z+1/2'
'-x,y+1/2,-z'
'x,-y+1/2,z'
loop_
_atom_site_label
_atom_site_fract_x
_atom_site_fract_y
_atom_site_fract_z
Sr1 0.042 0.250 0.010
Ir1 0.000 0.000 0.500
O1 0.016 0.750 0.417
O2 0.212 0.545 0.788
```

No. 5
# Sr2MgN2
Calculated powder XRD pattern, λ = 1.5418 Å (Cu Kα). Input: a structure optimized by DFT (GGA-PBE).
No peak broadening, texture or thermal motion is included.

Main lines, in order of rising 2θ (10 to 90 degrees two-theta):
| 2theta | intensity | hkl |
| --- | --- | --- |
| 12.88 | 26.1 | 0 0 2 |
| 30.26 | 100.0 | 1 0 3 |
| 32.79 | 68.8 | 1 1 0 |
| 39.31 | 18.8 | 0 0 6 |
| 47.05 | 23.7 | 2 0 0 |
| 52.09 | 32.1 | 1 1 6 |
| 56.97 | 34.7 | 2 1 3 |
| 62.93 | 17.8 | 2 0 6 |

Structural model:
```
data_Sr2MgN2
_chemical_formula_sum 'Sr4 Mg2 N4'
_cell_length_a 3.863
_cell_length_b 3.863
_cell_length_c 13.751
_cell_angle_alpha 90.00
_cell_angle_beta 90.00
_cell_angle_gamma 90.00
_symmetry_space_group_name_H-M 'I 4/m m m'
_symmetry_Int_Tables_number 139
_symmetry_space_group_name_Hall '-I 4 2'
loop_
_atom_site_label
_atom_site_fract_x
_atom_site_fract_y
_atom_site_fract_z
Sr1 0.000 0.000 0.165
Mg1 0.000 0.000 0.500
N1 0.000 0.000 0.356
```

No. 6
# BiB3O6
Calculated powder XRD pattern, λ = 1.5418 Å (Cu Kα). Input: a structure optimized by DFT (GGA-PBE).
No peak broadening, texture or thermal motion is included.

Main lines, in order of rising 2θ (10 to 90 degrees two-theta):
| 2theta | intensity | hkl |
| --- | --- | --- |
| 13.59 | 100.0 | 0 0 1 |
| 21.47 | 65.0 | 0 1 0 |
| 22.04 | 52.3 | 1 0 0 |
| 23.69 | 30.0 | 1 0 1 |
| 26.25 | 51.8 | 0 1 -1 |
| 27.38 | 32.8 | 0 0 2 |
| 28.10 | 50.8 | 1 0 -1 |
| 42.01 | 31.0 | 1 2 0 |

Structural model:
```
data_BiB3O6
_chemical_formula_sum 'Bi1 B3 O6'
_cell_length_a 4.377
_cell_length_b 4.423
_cell_length_c 6.691
_cell_angle_alpha 82.23
_cell_angle_beta 77.33
_cell_angle_gamma 69.69
_symmetry_space_group_name_H-M 'P 1'
_symmetry_Int_Tables_number 1
loop_
_symmetry_equiv_pos_as_xyz
'x,y,z'
loop_
_atom_site_label
_atom_site_fract_x
_atom_site_fract_y
_atom_site_fract_z
Bi1 0.000 0.000 0.000
B1 0.297 0.164 0.325
B2 0.699 0.240 0.527
B3 0.792 0.663 0.717
O1 0.386 0.252 0.482
O2 0.478 0.102 0.130
O3 0.668 0.556 0.584
O4 0.786 0.986 0.700
O5 0.901 0.504 0.894
O6 0.976 0.146 0.343
```

No. 7
# Dy4MgRu
Calculated powder XRD pattern, λ = 1.5418 Å (Cu Kα). Input: a structure optimized by DFT (GGA-PBE).
No peak broadening, texture or thermal motion is included.

Main lines, in order of rising 2θ (10 to 90 degrees two-theta):
| 2theta | intensity | hkl |
| --- | --- | --- |
| 11.16 | 25.7 | 1 1 1 |
| 28.33 | 48.0 | 3 3 1 |
| 31.93 | 59.9 | 4 2 2 |
| 33.92 | 100.0 | 5 1 1 |
| 37.03 | 31.9 | 4 4 0 |
| 54.71 | 15.6 | 7 3 3 |
| 56.90 | 55.4 | 6 6 0 |
| 85.79 | 16.8 | 11 5 1 |

Structural model:
```
data_Dy4MgRu
_chemical_formula_sum 'Dy64 Mg16 Ru16'
_cell_length_a 13.732
_cell_length_b 13.732
_cell_length_c 13.732
_cell_angle_alpha 90.00
_cell_angle_beta 90.00
_cell_angle_gamma 90.00
_symmetry_space_group_name_H-M 'F -4 3 m'
_symmetry_Int_Tables_number 216
_symmetry_space_group_name_Hall 'F -4 2 3'
loop_
_atom_site_label
_atom_site_fract_x
_atom_site_fract_y
_atom_site_fract_z
Dy1 0.000 0.000 0.186
Dy2 0.063 0.250 0.250
Dy3 0.156 0.156 0.656
Mg1 0.079 0.079 0.421
Ru1 0.139 0.139 0.861
```

No. 8
# BaCeMg6
Calculated powder XRD pattern, λ = 1.5418 Å (Cu Kα). Input: a structure optimized by DFT (GGA-PBE).
No peak broadening, texture or thermal motion is included.

Main lines, in order of rising 2θ (10 to 90 degrees two-theta):
| 2theta | intensity | hkl |
| --- | --- | --- |
| 14.77 | 52.0 | 0 0 2 |
| 16.41 | 46.5 | 1 0 0 |
| 22.15 | 52.4 | 1 0 2 |
| 29.38 | 38.2 | 0 2 2 |
| 33.17 | 32.0 | 2 0 0 |
| 33.84 | 100.0 | 1 2 2 |
| 34.20 | 45.2 | 1 0 4 |
| 63.62 | 31.8 | 2 2 6 |

Structural model:
```
data_BaCeMg6
_chemical_formula_sum 'Ba2 Ce2 Mg12'
_cell_length_a 5.402
_cell_length_b 7.052
_cell_length_c 11.994
_cell_angle_alpha 90.00
_cell_angle_beta 90.00
_cell_angle_gamma 90.00
_symmetry_space_group_name_H-M 'A m m 2'
_symmetry_Int_Tables_number 38
loop_
_symmetry_equiv_pos_as_xyz
'x,y,z'
'-x,-y,z'
'-x,y,z'
'x,-y,z'
'x,y+1/2,z+1/2'
'-x,-y+1/2,z+1/2'
'-x,y+1/2,z+1/2'
'x,-y+1/2,z+1/2'
loop_
_atom_site_label
_atom_site_fract_x
_atom_site_fract_y
_atom_site_fract_z
Ba1 0.000 0.000 0.000
Ce1 0.000 0.000 0.505
Mg1 0.000 0.247 0.248
Mg2 0.500 0.000 0.326
Mg3 0.500 0.000 0.813
Mg4 0.500 0.234 0.593
```

No. 9
# Rb2NaTbF6
Calculated powder XRD pattern, λ = 1.5418 Å (Cu Kα). Input: a structure optimized by DFT (GGA-PBE).
No peak broadening, texture or thermal motion is included.

Main lines, in order of rising 2θ (10 to 90 degrees two-theta):
| 2theta | intensity | hkl |
| --- | --- | --- |
| 17.05 | 41.5 | 1 1 1 |
| 28.03 | 100.0 | 2 2 0 |
| 32.99 | 22.5 | 3 1 1 |
| 40.05 | 42.4 | 4 0 0 |
| 49.59 | 41.7 | 4 2 2 |
| 57.93 | 26.6 | 4 4 0 |
| 65.57 | 18.5 | 6 2 0 |
| 79.68 | 21.6 | 6 4 2 |

Structural model:
```
data_Rb2NaTbF6
_chemical_formula_sum 'Rb8 Na4 Tb4 F24'
_cell_length_a 9.005
_cell_length_b 9.005
_cell_length_c 9.005
_cell_angle_alpha 90.00
_cell_angle_beta 90.00
_cell_angle_gamma 90.00
_symmetry_space_group_name_H-M 'F m -3 m'
_symmetry_Int_Tables_number 225
_symmetry_space_group_name_Hall '-F 4 2 3'
loop_
_atom_site_label
_atom_site_fract_x
_atom_site_fract_y
_atom_site_fract_z
Rb1 0.250 0.250 0.250
Na1 0.000 0.000 0.000
Tb1 0.000 0.000 0.500
F1 0.000 0.000 0.257
```

No. 10
# K2U3Te2O14
Calculated powder XRD pattern, λ = 1.5418 Å (Cu Kα). Input: a structure optimized by DFT (GGA-PBE).
No peak broadening, texture or thermal motion is included.

Main lines, in order of rising 2θ (10 to 90 degrees two-theta):
| 2theta | intensity | hkl |
| --- | --- | --- |
| 14.62 | 100.0 | 0 1 -1 |
| 23.86 | 30.1 | 1 0 -2 |
| 25.45 | 30.8 | 0 2 -1 |
| 26.10 | 25.8 | 2 0 -1 |
| 27.19 | 38.5 | 2 -1 0 |
| 27.37 | 42.7 | 1 1 1 |
| 29.70 | 20.5 | -1 1 2 |
| 30.08 | 31.2 | 1 0 2 |

Structural model:
```
data_K2U3Te2O14
_chemical_formula_sum 'K2 U3 Te2 O14'
_cell_length_a 7.012
_cell_length_b 7.120
_cell_length_c 8.148
_cell_angle_alpha 106.41
_cell_angle_beta 102.13
_cell_angle_gamma 97.59
_symmetry_space_group_name_H-M 'P -1'
_symmetry_Int_Tables_number 2
loop_
_symmetry_equiv_pos_as_xyz
'x,y,z'
'-x,-y,-z'
loop_
_atom_site_label
_atom_site_fract_x
_atom_site_fract_y
_atom_site_fract_z
K1 0.203 0.397 0.344
U1 0.102 0.165 0.740
U2 0.500 0.000 0.500
Te1 0.337 0.676 0.009
O1 0.106 0.948 0.821
O2 0.113 0.395 0.671
O3 0.133 0.736 0.126
O4 0.180 0.004 0.476
O5 0.316 0.410 0.024
O6 0.463 0.180 0.775
O7 0.469 0.764 0.555
```

No. 11
# PbI2
Calculated powder XRD pattern, λ = 1.5418 Å (Cu Kα). Input: a structure optimized by DFT (GGA-PBE).
No peak broadening, texture or thermal motion is included.

Main lines, in order of rising 2θ (10 to 90 degrees two-theta):
| 2theta | intensity | hkl |
| --- | --- | --- |
| 11.79 | 100.0 | 0 0 9 |
| 23.91 | 45.2 | 1 0 7 |
| 25.73 | 95.6 | 1 0 10 |
| 26.44 | 35.8 | 0 1 11 |
| 30.65 | 66.6 | 1 0 16 |
| 34.64 | 48.8 | 0 1 20 |
| 38.67 | 91.4 | 1 1 0 |
| 63.68 | 42.4 | 1 1 36 |

Structural model:
```
data_PbI2
_chemical_formula_sum 'Pb9 I18'
_cell_length_a 4.6569
_cell_length_b 4.6569
_cell_length_c 67.5678
_cell_angle_alpha 90.00
_cell_angle_beta 90.00
_cell_angle_gamma 120.00
_symmetry_space_group_name_H-M 'R -3 m'
_symmetry_Int_Tables_number 166
_symmetry_space_group_name_Hall '-R 3 2"'
loop_
_atom_site_label
_atom_site_fract_x
_atom_site_fract_y
_atom_site_fract_z
Pb1 0.0000 0.0000 0.0000
Pb2 0.0000 0.0000 0.4445
I1 0.0000 0.0000 0.1390
I2 0.0000 0.0000 0.2501
I3 0.0000 0.0000 0.3612
```